(1)
# Sr5Ir6O18
Simulated XRD peak list, Cu Kα. Input: a PBE-relaxed structure.
No peak broadening, texture or thermal motion is included.

Atomic structure:
```
Sr5Ir6O18
1.0
-4.7034 4.7034 4.7034
4.7034 -4.7034 4.7034
4.7034 4.7034 -4.7034
Sr Ir O
5 6 18
Cartesian
0.0000 0.0000 0.0000
2.3517 2.3517 -2.3517
2.3517 -2.3517 2.3517
-2.3517 2.3517 2.3517
2.3517 2.3517 2.3517
4.7034 0.0000 1.4611
4.7034 3.2423 0.0000
1.4611 4.7034 0.0000
3.2423 0.0000 4.7034
0.0000 1.4611 4.7034
0.0000 4.7034 3.2423
3.2730 0.0000 0.0000
6.1339 0.0000 0.0000
4.7034 1.9882 -1.5531
3.1504 0.0000 2.7152
6.2565 0.0000 2.7152
2.7152 3.1504 0.0000
1.9882 -1.5531 4.7034
0.0000 3.2730 0.0000
0.0000 0.0000 3.2730
4.7034 1.9882 1.5531
0.0000 2.7152 3.1504
0.0000 6.1339 0.0000
0.0000 0.0000 6.1339
2.7152 6.2565 0.0000
1.9882 1.5531 4.7034
-1.5531 4.7034 1.9882
1.5531 4.7034 1.9882
0.0000 2.7152 6.2565
```

Main lines, low angle first (15° ≤ 2θ ≤ 90°):
Position (°2θ)  d [Å]  Rel. int.
26.8  3.326  37
30.0  2.975  96
35.7  2.514  100
38.3  2.352  33
49.4  1.845  67
58.9  1.568  45


(2)
# TeIrO6
Simulated XRD peak list, Cu Kα. Input: a PBE-relaxed structure.
No peak broadening, texture or thermal motion is included.

Atomic structure:
```
TeIrO6
1.0
5.0139 0.0000 0.0000
0.0000 5.2402 0.0000
-5.0014 0.0000 7.3024
Te Ir O
2 2 12
Cartesian
0.0000 0.0000 0.0000
-2.5007 2.6201 3.6512
0.0063 0.0000 3.6512
2.5070 2.6201 0.0000
-0.6736 0.1966 1.8560
-3.1743 2.4235 5.5072
0.8894 3.5492 0.5054
-1.6113 4.3112 4.1565
1.6637 0.9491 0.4914
-0.8370 1.6710 4.1426
0.8496 3.5692 3.1598
-1.6511 4.2912 6.8110
1.6238 0.9290 3.1458
-0.8769 1.6911 6.7970
3.1868 2.8168 1.7952
0.6861 5.0436 5.4463
```

Main lines, low angle first (15° ≤ 2θ ≤ 90°):
Position (°2θ)  d [Å]  Rel. int.
24.4  3.651  52
24.6  3.623  100
34.2  2.620  19
34.9  2.572  63
56.4  1.630  22
56.7  1.623  21


(3)
# Y2Ir2O7
Simulated XRD peak list, Cu Kα. Input: a PBE-relaxed structure.
No peak broadening, texture or thermal motion is included.

Atomic structure:
```
Y2Ir2O7
1.0
0.0000 5.1312 5.1312
5.1312 0.0000 5.1312
5.1312 5.1312 0.0000
Y Ir O
4 4 14
Cartesian
0.0000 0.0000 0.0000
2.5656 2.5656 0.0000
2.5656 0.0000 2.5656
0.0000 2.5656 2.5656
5.1312 2.5656 2.5656
2.5656 5.1312 2.5656
2.5656 2.5656 5.1312
5.1312 5.1312 5.1312
1.2828 1.2828 1.2828
3.8484 3.8484 1.6766
3.8484 1.6766 3.8484
6.0203 3.8484 3.8484
6.4141 6.4141 4.2422
6.4141 4.2422 6.4141
8.5859 6.4141 6.4141
1.6766 3.8484 3.8484
3.8484 6.0203 3.8484
3.8484 3.8484 6.0203
4.2422 6.4141 6.4141
6.4141 8.5859 6.4141
6.4141 6.4141 8.5859
8.9797 8.9797 8.9797
```

Main lines, low angle first (15° ≤ 2θ ≤ 90°):
Position (°2θ)  d [Å]  Rel. int.
30.2  2.963  100
35.0  2.566  34
50.3  1.814  47
59.8  1.547  43
81.8  1.177  18
84.4  1.147  14


(4)
# Ir3Os
Simulated XRD peak list, Cu Kα. Input: a PBE-relaxed structure.
No peak broadening, texture or thermal motion is included.

Atomic structure:
```
Ir3Os
1.0
3.8697 0.0000 0.0000
0.0000 3.8697 0.0000
0.0000 0.0000 3.8697
Ir Os
3 1
Cartesian
0.0000 0.0000 1.9348
0.0000 1.9348 0.0000
1.9348 0.0000 0.0000
1.9348 1.9348 1.9348
```

Main lines, low angle first (15° ≤ 2θ ≤ 90°):
Position (°2θ)  d [Å]  Rel. int.
40.4  2.234  100
47.0  1.935  49
68.6  1.368  32
82.7  1.167  39
87.3  1.117  12